[1]
# CsIn3Br6
Simulated powder XRD pattern, Cu Kα, 1.54184 Å. Input: the GGA-PBE geometry in Alexandria.
Neutral-atom scattering factors, no anomalous dispersion.

Atomic structure:
Lattice parameters (Å, degrees): 8.710 8.096 14.527 90.00 126.80 90.00
Space group P2_1/c (No. 14)
One atom of each set of equivalent atoms:
Cs 0.000 0.000 0.000 x2
In 0.289 0.103 0.790 x4
In 0.500 0.000 0.500 x2
Br 0.156 0.150 0.405 x4
Br 0.332 0.694 0.458 x4
Br 0.432 0.011 0.291 x4

Top 10 peaks for 2θ = 10–90°, in order of falling intensity:
Position (°2θ)	intensity	index
36.32	1000	3 1 -1
21.40	907	1 1 -3
12.70	643	1 0 -2
25.13	533	1 0 2
31.13	466	2 2 -3
34.80	461	1 3 -1
24.44	422	2 1 -3
37.19	407	2 0 -6
33.67	377	3 1 -4
56.30	323	5 1 -7


[2]
# CsInBr3
Simulated powder XRD pattern, Cu Kα, 1.54184 Å. Input: the GGA-PBE geometry in Alexandria.
Neutral-atom scattering factors, no anomalous dispersion.

Atomic structure:
Lattice parameters (Å, degrees): 6.431 8.211 9.499 105.70 98.79 101.26
Space group P-1 (No. 2)
One atom of each set of equivalent atoms:
Cs 0.183 0.185 0.323 x2
In 0.335 0.391 0.877 x2
Br 0.014 0.748 0.048 x2
Br 0.253 0.553 0.679 x2
Br 0.377 0.104 0.690 x2

Top 10 peaks for 2θ = 10–90°, in order of falling intensity:
Position (°2θ)	intensity	index
19.72	1000	1 1 -1
27.68	661	-1 2 1
28.69	503	1 -2 2
16.07	499	1 -1 0
28.54	423	2 0 -1
34.80	319	1 2 -3
33.30	243	-2 1 2
30.42	218	1 2 0
19.20	192	1 0 1
30.04	189	0 0 3


[3]
# Cs2LaInBr6
Simulated powder XRD pattern, Cu Kα, 1.54184 Å. Input: the GGA-PBE geometry in Alexandria.
Neutral-atom scattering factors, no anomalous dispersion.

Atomic structure:
Lattice parameters (Å, degrees): 8.341 8.784 14.556 90.00 124.34 90.00
Space group P2_1/c (No. 14)
One atom of each set of equivalent atoms:
Cs 0.227 0.067 0.249 x4
La 0.500 0.000 0.000 x2
In 0.000 0.000 0.500 x2
Br 0.169 0.187 0.955 x4
Br 0.268 0.720 0.951 x4
Br 0.355 0.026 0.763 x4

Top 10 peaks for 2θ = 10–90°, in order of falling intensity:
Position (°2θ)	intensity	index
29.54	1000	2 2 -2
29.73	657	0 0 4
20.92	548	1 1 -3
20.75	545	1 1 1
36.92	414	3 1 -1
42.58	324	2 2 -6
24.72	306	1 0 -4
37.22	291	3 1 -5
32.42	287	1 3 -1
25.11	283	0 2 2


[4]
# Cs4Mg3InBr12
Simulated powder XRD pattern, Cu Kα, 1.54184 Å. Input: the GGA-PBE geometry in Alexandria.
Neutral-atom scattering factors, no anomalous dispersion.

Atomic structure:
Lattice parameters (Å, degrees): 11.077 11.077 11.077 90.00 90.00 90.00
Space group Im-3m (No. 229)
One atom of each set of equivalent atoms:
Cs 0.250 0.250 0.250 x8
Mg 0.000 0.000 0.500 x6
In 0.000 0.000 0.000 x2
Br 0.000 0.000 0.260 x12
Br 0.000 0.250 0.500 x12

Top 10 peaks for 2θ = 10–90°, in order of falling intensity:
Position (°2θ)	intensity	index
27.90	1000	2 2 2
32.33	852	4 0 0
46.37	604	4 4 0
54.99	427	6 2 2
77.00	264	8 4 0
22.71	218	2 2 0
57.65	207	4 4 4
85.98	202	8 4 4
74.71	172	6 6 2
39.87	97	4 2 2


[5]
# CsNa2InBr4
Simulated powder XRD pattern, Cu Kα, 1.54184 Å. Input: the GGA-PBE geometry in Alexandria.
Neutral-atom scattering factors, no anomalous dispersion.

Atomic structure:
Lattice parameters (Å, degrees): 4.435 16.249 17.133 90.00 90.00 90.00
Space group Cmcm (No. 63)
One atom of each set of equivalent atoms:
Cs 0.000 0.192 0.250 x4
Na 0.000 0.371 0.014 x8
In 0.000 0.097 0.750 x4
Br 0.000 0.000 0.000 x4
Br 0.000 0.228 0.599 x8
Br 0.000 0.475 0.750 x4

Top 10 peaks for 2θ = 10–90°, in order of falling intensity:
Position (°2θ)	intensity	index
30.39	1000	1 3 3
28.01	915	1 3 2
20.74	682	0 0 4
26.01	541	1 1 3
41.12	475	1 3 6
10.33	458	0 0 2
23.48	372	0 2 4
40.68	320	2 0 0
26.93	288	0 4 3
36.73	240	0 6 3


[6]
# CsNpIn2Br6
Simulated powder XRD pattern, Cu Kα, 1.54184 Å. Input: the GGA-PBE geometry in Alexandria.
Neutral-atom scattering factors, no anomalous dispersion.

Atomic structure:
Lattice parameters (Å, degrees): 8.273 8.289 8.754 61.81 61.81 60.07
Space group P1 (No. 1)
One atom of each set of equivalent atoms:
Cs 0.000 0.000 0.000 x1
Np 0.516 0.516 0.450 x1
In 0.200 0.200 0.399 x1
In 0.713 0.712 0.862 x1
Br 0.163 0.750 0.661 x1
Br 0.355 0.563 0.191 x1
Br 0.425 0.163 0.661 x1
Br 0.563 0.890 0.190 x1
Br 0.751 0.425 0.661 x1
Br 0.890 0.356 0.190 x1

Top 10 peaks for 2θ = 10–90°, in order of falling intensity:
Position (°2θ)	intensity	index
32.61	1000	1 2 -1
24.68	607	2 1 2
14.74	580	1 0 1
20.34	556	1 0 -1
37.61	555	3 3 2
36.96	428	1 3 0
21.45	422	2 1 1
29.73	359	2 0 2
42.97	356	2 1 -2
12.98	300	0 1 0


[7]
# CsPmIn2Br6
Simulated powder XRD pattern, Cu Kα, 1.54184 Å. Input: the GGA-PBE geometry in Alexandria.
Neutral-atom scattering factors, no anomalous dispersion.

Atomic structure:
Lattice parameters (Å, degrees): 8.307 8.314 8.721 61.56 61.56 60.04
Space group P1 (No. 1)
One atom of each set of equivalent atoms:
Cs 0.000 0.000 0.000 x1
Pm 0.516 0.516 0.452 x1
In 0.200 0.200 0.399 x1
In 0.712 0.712 0.863 x1
Br 0.162 0.750 0.659 x1
Br 0.353 0.565 0.192 x1
Br 0.429 0.162 0.658 x1
Br 0.565 0.889 0.192 x1
Br 0.750 0.429 0.658 x1
Br 0.889 0.354 0.192 x1

Top 10 peaks for 2θ = 10–90°, in order of falling intensity:
Position (°2θ)	intensity	index
32.70	1000	1 2 -1
24.66	742	2 1 2
37.48	599	3 3 2
20.41	530	1 0 -1
14.74	473	1 1 0
36.91	437	3 2 3
29.73	354	2 0 2
21.38	337	2 1 1
50.57	230	4 2 0
43.16	210	2 1 -2


[8]
# Cs2PrInBr6
Simulated powder XRD pattern, Cu Kα, 1.54184 Å. Input: the GGA-PBE geometry in Alexandria.
Neutral-atom scattering factors, no anomalous dispersion.

Atomic structure:
Lattice parameters (Å, degrees): 8.318 8.754 14.545 90.00 124.40 90.00
Space group P2_1/c (No. 14)
One atom of each set of equivalent atoms:
Cs 0.228 0.067 0.250 x4
Pr 0.500 0.000 0.000 x2
In 0.000 0.000 0.500 x2
Br 0.171 0.186 0.957 x4
Br 0.270 0.721 0.953 x4
Br 0.354 0.024 0.764 x4

Top 10 peaks for 2θ = 10–90°, in order of falling intensity:
Position (°2θ)	intensity	index
29.63	1000	2 2 -2
29.78	663	0 0 4
37.07	580	3 1 -1
20.95	546	1 1 -3
20.82	543	1 1 1
33.38	355	1 3 0
42.66	326	2 2 -6
24.78	293	1 0 -4
32.53	282	1 3 -1
37.28	280	3 1 -5